No. 1
Structure and theoretical XRD peak list of La6Sm16Dy7 (a crystal structure in Alexandria, relaxed with PBE; a wavelength of 1.5418 Å).
Neutral-atom scattering factors, no anomalous dispersion.

Structural model:
Cell lengths 16.053, 16.053, 16.053 Å; angles 90.00, 90.00, 90.00 degrees
Space group Fm-3m (No. 225)
Asymmetric unit:
1 La 0.000 0.000 0.223 [24 per cell]
2 Sm 0.126 0.126 0.374 [32 per cell]
3 Sm 0.153 0.153 0.153 [32 per cell]
4 Dy 0.000 0.000 0.500 [4 per cell]
5 Dy 0.000 0.250 0.250 [24 per cell]

Top 10 peaks for 2θ = 5–70°, low angle first:
two_theta  I (rel.)  index
27.21  7  4 2 2
28.90  15  3 3 3
31.53  100  4 4 0
33.01  7  5 3 1
33.49  6  6 0 0
43.29  7  7 3 1
45.19  13  8 0 0
56.14  24  8 4 4
59.57  6  7 7 3
65.82  7  8 8 0

=====

No. 2
Structure and theoretical XRD peak list of Hg5Pb24 (a crystal structure in Alexandria, relaxed with PBE; a wavelength of 1.5418 Å).
Neutral-atom scattering factors, no anomalous dispersion.

Structural model:
Cell lengths 12.251, 12.251, 12.251 Å; angles 90.00, 90.00, 90.00 degrees
Space group I-43m (No. 217)
Asymmetric unit:
1 Hg 0.000 0.000 0.000 [2 per cell]
2 Hg 0.170 0.170 0.170 [8 per cell]
3 Pb 0.051 0.361 0.639 [24 per cell]
4 Pb 0.094 0.094 0.711 [24 per cell]

Top 10 peaks for 2θ = 5–70°, low angle first:
two_theta  I (rel.)  index
29.16  15  4 0 0
30.97  100  4 1 1
34.33  33  3 3 2
35.91  12  4 2 2
37.43  24  4 3 1
52.84  15  5 5 0
55.09  26  7 2 1
56.19  9  6 4 2
57.27  8  7 3 0
65.55  9  7 4 3

=====

No. 3
Structure and theoretical XRD peak list of BeIn2 (a crystal structure in Alexandria, relaxed with PBE; a wavelength of 1.5418 Å).
Neutral-atom scattering factors, no anomalous dispersion.

Structural model:
Cell lengths 5.882, 6.349, 3.456 Å; angles 90.00, 90.00, 90.00 degrees
Space group Pnnm (No. 58)
Asymmetric unit:
1 Be 0.000 0.000 0.000 [2 per cell]
2 In 0.221 0.341 0.000 [4 per cell]

Top 10 peaks for 2θ = 5–70°, low angle first:
two_theta  I (rel.)  index
29.42  26  0 1 1
30.39  38  2 0 0
32.04  64  1 2 0
33.21  100  1 1 1
42.81  20  2 1 1
50.57  22  0 3 1
52.99  10  0 0 2
55.82  16  3 1 1
60.15  20  2 3 1
63.27  20  1 2 2

=====

No. 4
Structure and theoretical XRD peak list of LaNdDy3Er (a crystal structure in Alexandria, relaxed with PBE; a wavelength of 1.5418 Å).
Neutral-atom scattering factors, no anomalous dispersion.

Structural model:
Cell lengths 19.856, 5.676, 7.088 Å; angles 90.00, 90.54, 90.00 degrees
Space group C2/m (No. 12)
Asymmetric unit:
1 La 0.146 0.000 0.030 [4 per cell]
2 Nd 0.053 0.500 0.268 [4 per cell]
3 Dy 0.023 0.000 0.737 [4 per cell]
4 Dy 0.165 0.500 0.729 [4 per cell]
5 Dy 0.220 0.500 0.245 [4 per cell]
6 Er 0.150 0.000 0.461 [4 per cell]

Top 10 peaks for 2θ = 5–70°, low angle first:
two_theta  I (rel.)  index
25.13  24  0 0 2
30.08  34  1 1 2
30.13  87  5 1 -1
30.32  71  5 1 1
30.86  27  4 0 -2
31.53  100  0 2 0
32.62  58  3 1 -2
32.82  77  3 1 2
35.38  50  7 1 0
51.58  24  0 0 4

=====

No. 5
Structure and theoretical XRD peak list of Tl7PSe6 (a crystal structure in Alexandria, relaxed with PBE; a wavelength of 1.5418 Å).
Neutral-atom scattering factors, no anomalous dispersion.

Structural model:
Cell lengths 7.877, 14.008, 17.102 Å; angles 90.00, 90.00, 90.00 degrees
Space group Ibam (No. 72)
Asymmetric unit:
1 Tl 0.000 0.000 0.250 [4 per cell]
2 Tl 0.230 0.490 0.000 [8 per cell]
3 Tl 0.232 0.306 0.382 [16 per cell]
4 P 0.000 0.500 0.250 [4 per cell]
5 Se 0.049 0.176 0.500 [8 per cell]
6 Se 0.164 0.409 0.173 [16 per cell]

Top 10 peaks for 2θ = 5–70°, low angle first:
two_theta  I (rel.)  index
22.58  37  2 0 0
24.41  100  0 2 4
28.01  36  2 2 2
28.37  50  1 4 1
31.24  35  1 2 5
32.08  27  1 4 3
33.48  39  2 2 4
35.88  26  2 4 2
41.16  29  2 2 6
43.41  31  3 4 1

=====

No. 6
Structure and theoretical XRD peak list of CaB4Pd3O12 (a crystal structure in Alexandria, relaxed with PBE; a wavelength of 1.5418 Å).
Neutral-atom scattering factors, no anomalous dispersion.

Structural model:
Cell lengths 9.7410, 9.7410, 7.9442 Å; angles 90.00, 90.00, 120.00 degrees
Space group R32 (No. 155, hexagonal axes)
Asymmetric unit:
1 Ca 0.0000 0.0000 0.0000 [3 per cell]
2 B 0.0000 0.0000 0.5000 [3 per cell]
3 B 0.0000 0.4455 0.5000 [9 per cell]
4 Pd 0.0000 0.5480 0.0000 [9 per cell]
5 O 0.0000 0.5912 0.5000 [9 per cell]
6 O 0.0000 0.8583 0.5000 [9 per cell]
7 O 0.0196 0.2070 0.1834 [18 per cell]

Top 10 peaks for 2θ = 5–70°, low angle first:
two_theta  I (rel.)  index
18.21  46  1 1 0
23.89  80  0 2 1
30.20  33  2 1 1
30.92  100  2 0 2
36.91  20  2 2 0
44.97  46  3 1 2
50.81  21  0 2 4
50.95  25  2 2 3
56.70  17  3 3 0
62.41  18  5 1 1

=====

No. 7
Structure and theoretical XRD peak list of Pr2Nd2Er (a crystal structure in Alexandria, relaxed with PBE; a wavelength of 1.5418 Å).
Neutral-atom scattering factors, no anomalous dispersion.

Structural model:
Cell lengths 10.003, 10.049, 6.874 Å; angles 90.00, 91.27, 90.00 degrees
Space group Cc (No. 9)
Asymmetric unit:
1 Pr 0.000 0.162 0.000 [4 per cell]
2 Pr 0.184 0.250 0.369 [4 per cell]
3 Nd 0.086 0.436 0.720 [4 per cell]
4 Nd 0.278 0.069 0.749 [4 per cell]
5 Er 0.365 0.354 0.998 [4 per cell]

Top 10 peaks for 2θ = 5–70°, low angle first:
two_theta  I (rel.)  index
28.12  80  1 3 0
28.20  42  3 1 0
28.52  45  2 2 1
28.69  29  1 1 -2
29.05  48  1 1 2
30.90  100  1 3 -1
31.10  28  1 3 1
31.26  25  2 0 -2
31.37  43  3 1 1
31.54  37  0 2 2

=====

No. 8
Structure and theoretical XRD peak list of KTl2CdSb2 (a crystal structure in Alexandria, relaxed with PBE; a wavelength of 1.5418 Å).
Neutral-atom scattering factors, no anomalous dispersion.

Structural model:
Cell lengths 5.124, 9.077, 8.329 Å; angles 90.00, 90.00, 90.00 degrees
Space group Pmc2_1 (No. 26)
Asymmetric unit:
1 K 0.000 0.064 0.000 [2 per cell]
2 Tl 0.000 0.331 0.345 [2 per cell]
3 Tl 0.500 0.423 0.020 [2 per cell]
4 Cd 0.500 0.175 0.650 [2 per cell]
5 Sb 0.000 0.342 0.721 [2 per cell]
6 Sb 0.500 0.135 0.288 [2 per cell]

Top 10 peaks for 2θ = 5–70°, low angle first:
two_theta  I (rel.)  index
9.74  48  0 1 0
27.60  34  1 0 2
28.37  100  1 2 1
29.34  97  1 1 2
33.76  48  0 1 3
34.42  63  1 3 0
35.02  59  2 0 0
38.00  23  0 2 3
49.44  33  2 1 3
55.25  42  1 4 3